CsSiTeHSe: theoretical X-ray powder pattern (Cu Kα (λ = 1.5418 Å)), based on a structure optimized by DFT (PBE).
Peak positions follow from Bragg's law for the DFT cell and can differ from measured ones.

Atomic structure:
Cell: 7.935 7.935 5.880 Å, 110.44 110.44 29.63°
Atoms (fractional coordinates):
Cs (0.000, 0.000, 0.000)
Si (0.702, 0.702, 0.734)
Te (0.269, 0.269, 0.028)
H (0.756, 0.756, 0.567)
Se (0.549, 0.549, 0.546)

Principal peaks in the range 15 to 90 degrees two-theta, most intense first:
- 26.69°, intensity 100
- 24.89°, intensity 70
- 16.16°, intensity 66
- 28.89°, intensity 51
- 29.36°, intensity 50
- 24.31°, intensity 43
- 29.67°, intensity 42
- 33.23°, intensity 37
- 32.66°, intensity 35
- 36.56°, intensity 34

CsSi3H12: theoretical X-ray powder pattern (Cu Kα (λ = 1.5418 Å)), based on a structure optimized by DFT (PBE).
Peak positions follow from Bragg's law for the DFT cell and can differ from measured ones.

Atomic structure:
Cell: 8.385 8.385 8.385 Å, 61.73 61.73 61.73°
Atoms (fractional coordinates):
Cs (0.000, 0.000, 0.000)
Cs (0.500, 0.500, 0.500)
Si (0.021, 0.448, 0.027)
Si (0.027, 0.021, 0.448)
Si (0.448, 0.027, 0.021)
Si (0.521, 0.527, 0.948)
Si (0.527, 0.948, 0.521)
Si (0.948, 0.521, 0.527)
H (0.086, 0.403, 0.186)
H (0.098, 0.846, 0.392)
H (0.163, 0.447, 0.450)
H (0.175, 0.394, 0.854)
H (0.186, 0.086, 0.403)
H (0.346, 0.598, 0.892)
H (0.354, 0.894, 0.675)
H (0.392, 0.098, 0.846)
H (0.394, 0.854, 0.175)
H (0.403, 0.186, 0.086)
H (0.447, 0.450, 0.163)
H (0.450, 0.163, 0.447)
H (0.586, 0.686, 0.903)
H (0.598, 0.892, 0.346)
H (0.663, 0.950, 0.947)
H (0.675, 0.354, 0.894)
H (0.686, 0.903, 0.586)
H (0.846, 0.392, 0.098)
H (0.854, 0.175, 0.394)
H (0.892, 0.346, 0.598)
H (0.894, 0.675, 0.354)
H (0.903, 0.586, 0.686)
H (0.947, 0.663, 0.950)
H (0.950, 0.947, 0.663)

Principal peaks in the range 15 to 90 degrees two-theta, most intense first:
- 25.47°, intensity 100
- 29.77°, intensity 68
- 20.65°, intensity 40
- 21.21°, intensity 33
- 26.39°, intensity 33
- 33.01°, intensity 27
- 33.74°, intensity 25
- 50.29°, intensity 25
- 43.19°, intensity 22
- 36.50°, intensity 21